1.
# PuNi2O5
Computed powder XRD pattern, copper Kα. Input: a structure optimized by DFT (GGA+U).
Neutral-atom scattering factors, no anomalous dispersion.

Structural model:
Unit cell a=7.6064 b=3.2285 c=8.5805 alpha=90.00 beta=90.11 gamma=90.00
Space group P2/m (No. 10)
Unique sites:
Pu  0.0000  0.0000  0.0000 (multiplicity 1)
Pu  0.5000  0.0000  0.5000 (multiplicity 1)
Ni  0.0833  0.5000  0.3637 (multiplicity 2)
Ni  0.4168  0.5000  0.8638 (multiplicity 2)
O  0.0000  0.0000  0.5000 (multiplicity 1)
O  0.1073  0.0000  0.2084 (multiplicity 2)
O  0.1616  0.5000  0.9272 (multiplicity 2)
O  0.3398  0.5000  0.4256 (multiplicity 2)
O  0.3913  0.0000  0.7060 (multiplicity 2)
O  0.5000  0.0000  0.0000 (multiplicity 1)

Largest 10 diffraction maxima, low angle first, 5 to 70 degrees two-theta:
2theta, intensity, h k l
15.57, 91, 1 0 1
20.70, 45, 0 0 2
23.39, 65, 2 0 0
31.43, 33, 2 0 2
31.87, 100, 1 1 1
33.47, 49, 1 0 3
34.78, 24, 0 1 2
42.34, 40, 2 1 2
46.77, 26, 3 1 1
51.12, 26, 0 1 4

---

2.
# Rb3PuNi2O6
Computed powder XRD pattern, copper Kα. Input: a structure optimized by DFT (GGA+U).
Neutral-atom scattering factors, no anomalous dispersion.

Structural model:
Unit cell a=5.6735 b=9.8530 c=6.6899 alpha=90.00 beta=106.19 gamma=90.00
Space group C2/m (No. 12)
Unique sites:
Rb  0.0000  0.0000  0.0000 (multiplicity 2)
Rb  0.0000  0.3272  0.0000 (multiplicity 4)
Pu  0.0000  0.5000  0.5000 (multiplicity 2)
Ni  0.0000  0.1666  0.5000 (multiplicity 4)
O  0.2221  0.3358  0.6716 (multiplicity 8)
O  0.2300  0.0000  0.6744 (multiplicity 4)

Largest 10 diffraction maxima, low angle first, 5 to 70 degrees two-theta:
2theta, intensity, h k l
13.78, 22, 0 0 1
18.61, 25, 1 1 0
20.31, 23, 1 1 -1
27.77, 60, 0 0 2
32.87, 100, 2 0 0
36.68, 88, 1 3 1
36.84, 49, 2 0 -2
49.65, 31, 1 3 -3
56.12, 26, 3 3 -1
63.65, 23, 3 3 1